Calculated powder diffraction line list
Compound: Tm6Ag5
Radiation: Cu Kα X-rays
Structure: a cell relaxed with PBE
Peak positions follow from Bragg's law for the DFT cell and can differ from measured ones.

Most intense lines, 5° ≤ 2θ ≤ 70°, in order of rising 2θ:
d [Å]	2theta	I (rel.)
7.550	11.7	1
6.437	13.8	1
4.111	21.6	1
3.612	24.6	1
3.560	25.0	10
2.518	35.7	100
2.056	44.1	3
1.780	51.3	17
1.592	57.9	4
1.454	64.1	35

Cell and atoms:
abc: 8.718 8.718 8.718
angles: 146.40 131.83 60.01
Atoms (fractional coordinates):
Tm (0.084, 0.337, 0.748)
Tm (0.247, 0.000, 0.247)
Tm (0.411, 0.663, 0.748)
Tm (0.589, 0.337, 0.252)
Tm (0.753, 0.000, 0.753)
Tm (0.916, 0.663, 0.252)
Ag (0.169, 0.169, 0.000)
Ag (0.331, 0.831, 0.500)
Ag (0.500, 0.500, 0.000)
Ag (0.669, 0.169, 0.500)
Ag (0.831, 0.831, 0.000)